Record 1
Diffraction record for CoP2O7. The powder diffractogram is calculated, not measured: it uses a structure optimized by DFT (GGA+U) and Cu Kα (weighted mean of Kα1 and Kα2).
Peak positions follow from Bragg's law for the DFT cell and can differ from measured ones.

Principal peaks in the range 2θ = 5–70°, by angle:
two_theta	I_rel
14.59	48.0
22.00	100.0
23.09	60.3
31.35	33.2
32.79	11.2
34.54	13.5
35.51	10.5
54.92	9.4

Cell and atoms:
```
data_CoP2O7
_symmetry_space_group_name_H-M 'P 1 21/c 1'
_symmetry_Int_Tables_number 14
_symmetry_space_group_name_Hall '-P 2ybc'
_cell_length_a 8.207
_cell_length_b 5.194
_cell_length_c 13.699
_cell_angle_alpha 90.00
_cell_angle_beta 110.17
_cell_angle_gamma 90.00
loop_
_atom_site_label
_atom_site_type_symbol
_atom_site_fract_x
_atom_site_fract_y
_atom_site_fract_z
Co1 Co 0.229 0.240 0.140
P1 P 0.196 0.730 0.980
P2 P 0.331 0.725 0.803
O1 O 0.017 0.702 0.401
O2 O 0.204 0.051 0.515
O3 O 0.228 0.556 0.235
O4 O 0.242 0.036 0.266
O5 O 0.261 0.583 0.570
O6 O 0.333 0.739 0.420
O7 O 0.479 0.220 0.688
```



Record 2
Diffraction record for MgMn2Sb4O12. The powder diffractogram is calculated, not measured: it uses a structure optimized by DFT (GGA+U) and Cu Kα (weighted mean of Kα1 and Kα2).
Peak positions follow from Bragg's law for the DFT cell and can differ from measured ones.

Principal peaks in the range 2θ = 5–70°, by angle:
two_theta	I_rel
17.31	18.3
20.07	20.5
25.13	84.5
26.21	68.2
31.93	100.0
36.57	26.3
48.74	45.5
49.98	40.6

Cell and atoms:
```
data_MgMn2Sb4O12
_symmetry_space_group_name_H-M 'P 1 2 1'
_symmetry_Int_Tables_number 3
_symmetry_space_group_name_Hall 'P 2y'
_cell_length_a 4.906
_cell_length_b 10.245
_cell_length_c 4.917
_cell_angle_alpha 90.00
_cell_angle_beta 92.37
_cell_angle_gamma 90.00
loop_
_atom_site_label
_atom_site_type_symbol
_atom_site_fract_x
_atom_site_fract_y
_atom_site_fract_z
Mg1 Mg 0.000 0.000 0.000
Mn1 Mn 0.000 0.559 0.500
Mn2 Mn 0.500 0.123 0.000
Sb1 Sb 0.000 0.254 0.500
Sb2 Sb 0.000 0.861 0.500
Sb3 Sb 0.500 0.416 0.000
Sb4 Sb 0.500 0.726 0.000
O1 O 0.171 0.109 0.724
O2 O 0.197 0.402 0.705
O3 O 0.221 0.720 0.683
O4 O 0.282 0.874 0.159
O5 O 0.304 0.270 0.214
O6 O 0.313 0.570 0.175
```



Record 3
Diffraction record for LaP2H2W3O6. The powder diffractogram is calculated, not measured: it uses a structure optimized by DFT (GGA+U) and Cu Kα (weighted mean of Kα1 and Kα2).
Peak positions follow from Bragg's law for the DFT cell and can differ from measured ones.

Principal peaks in the range 2θ = 5–70°, by angle:
two_theta	I_rel
8.63	100.0
14.95	26.3
17.31	53.4
26.04	32.3
28.68	20.5
31.14	21.9
32.38	25.7
35.32	23.6

Cell and atoms:
```
data_LaP2H2W3O6
_symmetry_space_group_name_H-M 'P 1 21/c 1'
_symmetry_Int_Tables_number 14
_symmetry_space_group_name_Hall '-P 2ybc'
_cell_length_a 10.274
_cell_length_b 7.268
_cell_length_c 13.819
_cell_angle_alpha 90.00
_cell_angle_beta 94.27
_cell_angle_gamma 90.00
loop_
_atom_site_label
_atom_site_type_symbol
_atom_site_fract_x
_atom_site_fract_y
_atom_site_fract_z
La1 La 0.030 0.248 0.323
P1 P 0.018 0.738 0.413
P2 P 0.299 0.546 0.235
H1 H 0.151 0.705 0.444
H2 H 0.341 0.047 0.653
W1 W 0.390 0.564 0.689
W2 W 0.415 0.083 0.407
W3 W 0.422 0.661 0.456
O1 O 0.015 0.587 0.849
O2 O 0.030 0.079 0.156
O3 O 0.056 0.247 0.495
O4 O 0.219 0.081 0.794
O5 O 0.225 0.724 0.198
O6 O 0.427 0.608 0.296
```



Record 4
Diffraction record for Mn2O3. The powder diffractogram is calculated, not measured: it uses a structure optimized by DFT (GGA+U) and Cu Kα (weighted mean of Kα1 and Kα2).
Peak positions follow from Bragg's law for the DFT cell and can differ from measured ones.

Principal peaks in the range 2θ = 5–70°, by angle:
two_theta	I_rel
11.71	100.0
18.32	35.9
30.74	32.2
34.47	61.6
39.78	43.0
41.16	42.2
43.37	35.8
62.53	28.0

Cell and atoms:
```
data_Mn2O3
_symmetry_space_group_name_H-M 'C m c m'
_symmetry_Int_Tables_number 63
_symmetry_space_group_name_Hall '-C 2c 2'
_cell_length_a 3.097
_cell_length_b 10.223
_cell_length_c 15.114
_cell_angle_alpha 90.00
_cell_angle_beta 90.00
_cell_angle_gamma 90.00
loop_
_atom_site_label
_atom_site_type_symbol
_atom_site_fract_x
_atom_site_fract_y
_atom_site_fract_z
Mn1 Mn 0.000 0.092 0.139
Mn2 Mn 0.000 0.363 0.047
O1 O 0.000 0.000 0.000
O2 O 0.000 0.167 0.250
O3 O 0.000 0.279 0.575
O4 O 0.000 0.475 0.149
```